Starting from a structure optimized by DFT (GGA-PBE), the powder XRD pattern of Pu3B2Rh9Au was calculated for Cu Kα (weighted mean of Kα1 and Kα2).
Lines closer than 0.1° are merged.

Main lines, by angle (2θ from 10° to 80°):
| hkl | 2theta | I/Imax |
| --- | --- | --- |
| 0 1 2 | 26.60 | 42 |
| 0 0 3 | 29.65 | 23 |
| 1 1 0 | 31.00 | 24 |
| 0 2 1 | 37.35 | 85 |
| 2 0 2 | 41.29 | 100 |
| 1 0 4 | 43.98 | 23 |
| 0 2 4 | 54.78 | 17 |
| 2 2 0 | 64.62 | 29 |

Crystal structure
```
15
Lattice="5.7694 0.0000 0.0000 -2.8847 4.9964 0.0000 0.0000 0.0000 9.0386" Properties=species:S:1:pos:R:3 pbc="T T T"
Pu 0.0000 0.0000 0.0000
Pu 0.0000 3.3309 6.0169
Pu 2.8847 1.6655 3.0217
B 0.0000 3.3309 1.2896
B 2.8847 1.6655 7.7489
Rh -1.4423 2.4982 0.0000
Rh 0.0000 1.6100 2.3774
Rh -1.4903 4.1914 2.3774
Rh 1.3943 0.8050 6.6612
Rh 2.8847 0.0000 0.0000
Rh 1.4423 2.4982 0.0000
Rh 1.4903 4.1914 2.3774
Rh 4.3750 0.8050 6.6612
Rh 2.8847 3.3864 6.6612
Au 0.0000 0.0000 4.5193
```